Zr2TiCo: simulated X-ray diffraction stick pattern (a wavelength of 1.5418 Å), based on a crystal structure in Alexandria, relaxed with GGA-PBE.
Peak positions follow from Bragg's law for the DFT cell and can differ from measured ones.

```
Zr2TiCo
1.0
3.1162 0.0000 0.0000
-0.1453 5.0525 0.0000
-1.4909 -2.4671 4.6882
Zr Ti Co
2 1 1
direct
0.0000 0.0000 0.0000
0.2305 0.7496 0.4061
0.8244 0.3483 0.5969
0.5073 0.3892 0.9642
```

Peak list (10 most intense, 2θ from 10° to 90°, in order of falling intensity)
2theta  I (rel.)
35.5  100
38.8  96
38.5  93
39.3  90
39.5  87
33.5  76
38.4  66
33.9  45
30.2  44
40.8  33

=====

CsRbCd2: simulated X-ray diffraction stick pattern (a wavelength of 1.5418 Å), based on a crystal structure in Alexandria, relaxed with GGA-PBE.
Peak positions follow from Bragg's law for the DFT cell and can differ from measured ones.

```
CsRbCd2
1.0
5.2755 0.0000 0.0000
0.0000 8.8405 0.0000
-2.6002 0.0000 9.4423
Cs Rb Cd
2 2 4
direct
0.1112 0.2500 0.2183
0.8888 0.7500 0.7817
0.3770 0.2500 0.7572
0.6230 0.7500 0.2428
0.2507 0.5814 0.5014
0.2507 0.9186 0.5014
0.7493 0.0814 0.4986
0.7493 0.4186 0.4986
```

Peak list (10 most intense, 2θ from 10° to 90°, in order of falling intensity)
2theta  I (rel.)
24.2  100
35.2  65
27.6  44
34.0  24
28.4  19
22.2  16
48.9  15
49.0  15
38.1  14
30.8  13

=====

Mg2TlTc: simulated X-ray diffraction stick pattern (a wavelength of 1.5418 Å), based on a crystal structure in Alexandria, relaxed with GGA-PBE.
Peak positions follow from Bragg's law for the DFT cell and can differ from measured ones.

```
Mg2TlTc
1.0
4.2320 0.0000 0.0000
0.0000 4.2320 0.0000
0.0000 0.0000 4.2000
Mg Tl Tc
2 1 1
direct
0.0000 0.5000 0.0000
0.5000 0.0000 0.0000
0.0000 0.0000 0.5000
0.5000 0.5000 0.5000
```

Peak list (10 most intense, 2θ from 10° to 90°, in order of falling intensity)
2theta  I (rel.)
36.9  100
21.2  51
29.9  44
42.7  33
48.1  28
74.4  25
62.3  22
53.3  18
43.1  16
21.0  15

=====

Cs4In3Br10: simulated X-ray diffraction stick pattern (a wavelength of 1.5418 Å), based on a crystal structure in Alexandria, relaxed with GGA-PBE.
Peak positions follow from Bragg's law for the DFT cell and can differ from measured ones.

```
Cs4In3Br10
1.0
-2.8705 2.8705 20.6717
2.8705 -2.8705 20.6717
2.8705 2.8705 -20.6717
Cs In Br
4 3 10
direct
0.0686 0.0686 0.0000
0.2004 0.2004 0.0000
0.7996 0.7996 0.0000
0.9314 0.9314 0.0000
0.3580 0.3580 0.0000
0.5000 0.5000 0.0000
0.6420 0.6420 0.0000
0.0000 0.5000 0.5000
0.1392 0.6392 0.5000
0.2886 0.2886 0.0000
0.3608 0.8608 0.5000
0.4311 0.4311 0.0000
0.5000 0.0000 0.5000
0.5689 0.5689 0.0000
0.6392 0.1392 0.5000
0.7114 0.7114 0.0000
0.8608 0.3608 0.5000
```

Peak list (10 most intense, 2θ from 10° to 90°, in order of falling intensity)
2theta  I (rel.)
31.2  100
27.9  62
44.0  58
21.6  43
21.9  42
30.3  42
44.6  36
54.9  30
53.5  23
38.2  20

=====

Ca3OsO6: simulated X-ray diffraction stick pattern (a wavelength of 1.5418 Å), based on a crystal structure in Alexandria, relaxed with GGA-PBE.
Peak positions follow from Bragg's law for the DFT cell and can differ from measured ones.

```
Ca3OsO6
1.0
4.7225 2.7266 3.6723
-4.7225 2.7266 3.6723
0.0000 -5.4531 3.6723
Ca Os O
6 2 12
direct
0.0649 0.5688 0.7547
0.2453 0.9351 0.4312
0.4312 0.2453 0.9351
0.5688 0.7547 0.0649
0.7547 0.0649 0.5688
0.9351 0.4312 0.2453
0.0000 0.0000 0.0000
0.5000 0.5000 0.5000
0.0481 0.9223 0.7166
0.0777 0.2834 0.9519
0.2179 0.5616 0.4309
0.2834 0.9519 0.0777
0.4309 0.2179 0.5616
0.4384 0.5691 0.7821
0.5616 0.4309 0.2179
0.5691 0.7821 0.4384
0.7166 0.0481 0.9223
0.7821 0.4384 0.5691
0.9223 0.7166 0.0481
0.9519 0.0777 0.2834
```

Peak list (10 most intense, 2θ from 10° to 90°, in order of falling intensity)
2theta  I (rel.)
19.4  100
18.8  89
33.2  73
27.2  69
44.0  48
43.1  33
51.2  31
32.8  28
52.2  24
34.4  21